(1)
Structure and simulated X-ray diffraction stick pattern of CuIrAu2 (a PBE-relaxed structure; copper Kα).
Intensities are scaled so that the largest is 100.

a = 2.7754 Å, b = 2.7754 Å, c = 9.5703 Å
α = 90.00°, β = 90.00°, γ = 119.36°
Fractional positions:
Cu (0.0000, 0.0000, 0.0000)
Ir (0.5000, 0.5000, 0.7778)
Au (0.0000, 0.0000, 0.5150)
Au (0.5000, 0.5000, 0.2388)

The 10 most intense peaks (10° ≤ 2θ ≤ 90°), by angle:
| Position (°2θ) | Rel. int. |
| --- | --- |
| 28.0 | 13 |
| 37.6 | 65 |
| 38.4 | 10 |
| 41.8 | 100 |
| 47.5 | 7 |
| 54.2 | 21 |
| 61.8 | 10 |
| 66.8 | 7 |
| 70.7 | 37 |
| 79.2 | 15 |

***

(2)
Structure and simulated X-ray diffraction stick pattern of CdPdS2 (a PBE-relaxed structure; copper Kα).
Intensities are scaled so that the largest is 100.

a = 7.0261 Å, b = 7.0261 Å, c = 7.0261 Å
α = 132.58°, β = 132.58°, γ = 69.32°
Fractional positions:
Cd (0.0000, 0.0000, 0.0000)
Cd (0.7500, 0.2500, 0.5000)
Pd (0.2500, 0.7500, 0.5000)
Pd (0.5000, 0.5000, 0.0000)
S (0.1594, 0.6250, 0.0344)
S (0.3750, 0.4094, 0.5344)
S (0.5906, 0.1250, 0.9656)
S (0.8750, 0.8406, 0.4656)

The 10 most intense peaks (10° ≤ 2θ ≤ 90°), by angle:
| Position (°2θ) | Rel. int. |
| --- | --- |
| 27.1 | 100 |
| 30.9 | 8 |
| 31.7 | 16 |
| 44.9 | 37 |
| 45.4 | 17 |
| 52.8 | 15 |
| 53.7 | 28 |
| 56.0 | 7 |
| 72.1 | 11 |
| 83.5 | 11 |